Starting from a GGA-PBE-relaxed structure, the powder diffraction line list of Zn3TeAs2Pb3O14 was calculated for Cu Kα (λ = 1.5418 Å).
Kinematic intensities with the Lorentz-polarization factor, no thermal factor.

Principal peaks in the range 10 to 80 degrees two-theta, by angle:
20.44°, intensity 21, (1 1 0); 26.49°, intensity 100, (1 1 1); 29.07°, intensity 69, (0 2 1); 31.45°, intensity 24, (2 1 0); 35.79°, intensity 39, (3 0 0); 39.73°, intensity 19, (0 3 1); 46.75°, intensity 43, (1 2 2); 49.98°, intensity 21, (3 0 2); 56.00°, intensity 47, (3 2 1); 64.32°, intensity 21, (0 5 1)

Cell and atoms:
Unit cell a=8.6914 b=8.6914 c=5.3179 alpha=90.00 beta=90.00 gamma=120.00
Space group P321 (No. 150)
Unique sites:
Zn (0.0000, 0.2424, 0.0000) x3
Te (0.0000, 0.0000, 0.5000) x1
As (0.3333, 0.6667, 0.0449) x2
Pb (0.0000, 0.6032, 0.5000) x3
O (0.0885, 0.8770, 0.7121) x6
O (0.1877, 0.4616, 0.1764) x6
O (0.3333, 0.6667, 0.7241) x2

Starting from a GGA-PBE-relaxed structure, the powder diffraction line list of Sr2Ti2GaO7 was calculated for Cu Kα (λ = 1.5418 Å).
Kinematic intensities with the Lorentz-polarization factor, no thermal factor.

Principal peaks in the range 10 to 80 degrees two-theta, by angle:
16.50°, intensity 39, (4 0 0); 27.63°, intensity 65, (4 1 1); 30.99°, intensity 33, (0 2 0); 31.66°, intensity 40, (0 0 2); 33.44°, intensity 100, (6 1 1); 44.89°, intensity 49, (0 2 2); 48.14°, intensity 15, (4 2 2); 53.12°, intensity 14, (10 2 0); 56.70°, intensity 14, (6 3 1); 57.53°, intensity 23, (6 1 3)

Cell and atoms:
Unit cell a=21.4870 b=5.7718 c=5.6523 alpha=90.00 beta=90.00 gamma=90.00
Space group Ima2 (No. 46)
Unique sites:
Sr (0.1474, 0.0189, 0.0000) x8
Ti (0.0770, 0.5033, 0.0158) x8
Ga (0.2500, 0.5788, 0.0207) x4
O (0.0723, 0.2350, 0.7261) x8
O (0.0832, 0.7425, 0.2294) x8
O (0.1730, 0.0519, 0.4562) x8
O (0.2500, 0.6383, 0.3504) x4

Starting from a GGA-PBE-relaxed structure, the powder diffraction line list of Tb2Dy13 was calculated for Cu Kα (λ = 1.5418 Å).
Kinematic intensities with the Lorentz-polarization factor, no thermal factor.

Principal peaks in the range 10 to 80 degrees two-theta, by angle:
30.48°, intensity 18, (-1 2 2); 32.14°, intensity 100, (2 1 2); 32.20°, intensity 11, (0 2 3); 37.68°, intensity 7, (-2 2 1); 44.84°, intensity 6, (3 -1 0); 47.29°, intensity 9, (1 3 -2); 57.27°, intensity 16, (3 4 3); 58.31°, intensity 7, (3 4 0); 62.62°, intensity 13, (4 0 -2); 62.71°, intensity 7, (0 2 6)

Cell and atoms:
Unit cell a=6.5863 b=8.6908 c=8.9395 alpha=69.12 beta=83.74 gamma=80.64
Space group P-1 (No. 2)
Unique sites:
Tb (0.1994, 0.3037, 0.3984) x2
Dy (0.0000, 0.5000, 0.0000) x1
Dy (0.0960, 0.9240, 0.6922) x2
Dy (0.1336, 0.6964, 0.2675) x2
Dy (0.2374, 0.0760, 0.9749) x2
Dy (0.3335, 0.4997, 0.6670) x2
Dy (0.4295, 0.9232, 0.3589) x2
Dy (0.4670, 0.6966, 0.9345) x2

Which formula does entry 3 have?
Tb2Dy13